Record 1
Diffraction record for Th4SiP2S. The X-ray powder pattern is simulated, not measured: it uses a crystal structure in Alexandria, relaxed with PBE and a wavelength of 1.5418 Å.

Main lines, in order of rising 2θ (5° ≤ 2θ ≤ 70°):
- 2θ = 26.2°, d = 3.395 Å, I = 81.0, (1 1 -1)
- 2θ = 26.3°, d = 3.383 Å, I = 26.8, (2 0 0)
- 2θ = 30.4°, d = 2.938 Å, I = 100.0, (1 1 1)
- 2θ = 43.5°, d = 2.080 Å, I = 50.4, (0 2 0)
- 2θ = 43.7°, d = 2.073 Å, I = 25.1, (3 1 -1)
- 2θ = 51.5°, d = 1.774 Å, I = 23.0, (0 2 2)
- 2θ = 51.6°, d = 1.770 Å, I = 27.5, (2 2 0)
- 2θ = 53.9°, d = 1.701 Å, I = 6.7, (0 0 4)
- 2θ = 54.1°, d = 1.696 Å, I = 13.5, (2 2 -2)
- 2θ = 54.2°, d = 1.691 Å, I = 6.7, (4 0 0)
- 2θ = 63.3°, d = 1.469 Å, I = 12.6, (4 0 -4)
- 2θ = 69.8°, d = 1.347 Å, I = 5.7, (1 3 -1)

Crystal structure
Cell lengths 7.175, 4.155, 7.216 Å; angles 90.00, 109.45, 90.00 degrees
Sites, in units of the cell vectors:
Th 0.247 0.000 0.245
Th 0.251 0.500 0.754
Th 0.749 0.500 0.246
Th 0.753 0.000 0.755
Si 0.000 0.000 0.500
P 0.000 0.500 0.000
P 0.500 0.000 0.000
S 0.500 0.500 0.500


Record 2
Diffraction record for Cs6CdHg4. The X-ray powder pattern is simulated, not measured: it uses a crystal structure in Alexandria, relaxed with PBE and a wavelength of 1.5418 Å.

Main lines, in order of rising 2θ (5° ≤ 2θ ≤ 70°):
- 2θ = 8.3°, d = 10.674 Å, I = 28.4, (1 0 0)
- 2θ = 19.1°, d = 4.647 Å, I = 26.3, (2 0 1)
- 2θ = 24.0°, d = 3.710 Å, I = 83.7, (2 1 1)
- 2θ = 25.2°, d = 3.537 Å, I = 100.0, (2 0 2)
- 2θ = 26.8°, d = 3.330 Å, I = 78.1, (3 0 1)
- 2θ = 29.0°, d = 3.081 Å, I = 75.5, (2 2 0)
- 2θ = 29.1°, d = 3.068 Å, I = 28.1, (2 1 2)
- 2θ = 29.6°, d = 3.020 Å, I = 31.0, (1 0 3)
- 2θ = 33.0°, d = 2.712 Å, I = 32.0, (2 0 3)
- 2θ = 44.5°, d = 2.038 Å, I = 26.6, (2 1 4)
- 2θ = 47.0°, d = 1.933 Å, I = 37.1, (3 2 3)
- 2θ = 54.6°, d = 1.682 Å, I = 23.0, (5 2 1)

Crystal structure
Cell lengths 12.325, 12.325, 9.447 Å; angles 90.00, 90.00, 120.00 degrees
Sites, in units of the cell vectors:
Cs 0.059 0.530 0.000
Cs 0.132 0.265 0.317
Cs 0.132 0.868 0.317
Cs 0.265 0.132 0.817
Cs 0.470 0.530 0.000
Cs 0.470 0.941 0.000
Cs 0.530 0.059 0.500
Cs 0.530 0.470 0.500
Cs 0.735 0.868 0.317
Cs 0.868 0.132 0.817
Cs 0.868 0.735 0.817
Cs 0.941 0.470 0.500
Cd 0.333 0.667 0.609
Cd 0.667 0.333 0.109
Hg 0.200 0.399 0.708
Hg 0.200 0.800 0.708
Hg 0.333 0.667 0.289
Hg 0.399 0.200 0.208
Hg 0.601 0.800 0.708
Hg 0.667 0.333 0.789
Hg 0.800 0.200 0.208
Hg 0.800 0.601 0.208


Record 3
Diffraction record for LaSn2Pd6. The X-ray powder pattern is simulated, not measured: it uses a crystal structure in Alexandria, relaxed with PBE and a wavelength of 1.5418 Å.

Main lines, in order of rising 2θ (5° ≤ 2θ ≤ 70°):
- 2θ = 18.2°, d = 4.871 Å, I = 54.6, (1 0 0)
- 2θ = 22.2°, d = 4.010 Å, I = 55.4, (1 0 1)
- 2θ = 31.3°, d = 2.859 Å, I = 23.1, (1 0 2)
- 2θ = 36.9°, d = 2.436 Å, I = 99.2, (2 0 0)
- 2θ = 38.2°, d = 2.354 Å, I = 30.6, (0 0 3)
- 2θ = 39.1°, d = 2.302 Å, I = 88.6, (2 0 1)
- 2θ = 41.0°, d = 2.200 Å, I = 100.0, (1 1 2)
- 2θ = 42.7°, d = 2.119 Å, I = 59.7, (1 0 3)
- 2θ = 45.2°, d = 2.005 Å, I = 58.5, (2 0 2)
- 2θ = 63.0°, d = 1.475 Å, I = 28.4, (3 0 2)
- 2θ = 64.2°, d = 1.450 Å, I = 35.4, (2 1 3)
- 2θ = 66.5°, d = 1.406 Å, I = 42.1, (2 2 0)

Crystal structure
Cell lengths 5.625, 5.625, 7.061 Å; angles 90.00, 90.00, 120.00 degrees
Sites, in units of the cell vectors:
La 0.000 0.000 0.000
Sn 0.333 0.667 0.500
Sn 0.667 0.333 0.500
Pd 0.000 0.500 0.194
Pd 0.000 0.500 0.806
Pd 0.500 0.000 0.194
Pd 0.500 0.000 0.806
Pd 0.500 0.500 0.194
Pd 0.500 0.500 0.806


Record 4
Diffraction record for AcHo2I. The X-ray powder pattern is simulated, not measured: it uses a crystal structure in Alexandria, relaxed with PBE and a wavelength of 1.5418 Å.

Main lines, in order of rising 2θ (5° ≤ 2θ ≤ 70°):
- 2θ = 22.2°, d = 3.999 Å, I = 32.0, (0 0 9)
- 2θ = 28.1°, d = 3.172 Å, I = 62.5, (1 0 1)
- 2θ = 28.5°, d = 3.135 Å, I = 96.7, (0 1 2)
- 2θ = 29.8°, d = 2.999 Å, I = 37.0, (0 0 12)
- 2θ = 30.7°, d = 2.912 Å, I = 20.6, (0 1 5)
- 2θ = 34.5°, d = 2.599 Å, I = 49.2, (0 1 8)
- 2θ = 37.7°, d = 2.385 Å, I = 100.0, (1 0 10)
- 2θ = 39.5°, d = 2.282 Å, I = 28.9, (0 1 11)
- 2θ = 49.6°, d = 1.838 Å, I = 46.7, (1 1 0)
- 2θ = 55.0°, d = 1.670 Å, I = 17.6, (1 1 9)
- 2θ = 58.9°, d = 1.567 Å, I = 57.1, (0 1 20)
- 2θ = 64.0°, d = 1.456 Å, I = 34.8, (0 2 10)

Crystal structure
Cell lengths 3.677, 3.677, 35.989 Å; angles 90.00, 90.00, 120.00 degrees
Sites, in units of the cell vectors:
Ac 0.000 0.000 0.000
Ac 0.333 0.667 0.667
Ac 0.667 0.333 0.333
Ho 0.000 0.000 0.098
Ho 0.000 0.000 0.902
Ho 0.333 0.667 0.569
Ho 0.333 0.667 0.765
Ho 0.667 0.333 0.235
Ho 0.667 0.333 0.431
I 0.000 0.000 0.500
I 0.333 0.667 0.167
I 0.667 0.333 0.833


Copy entry 3 word for word.
Diffraction record for LaSn2Pd6. The X-ray powder pattern is simulated, not measured: it uses a crystal structure in Alexandria, relaxed with PBE and a wavelength of 1.5418 Å.

Main lines, in order of rising 2θ (5° ≤ 2θ ≤ 70°):
- 2θ = 18.2°, d = 4.871 Å, I = 54.6, (1 0 0)
- 2θ = 22.2°, d = 4.010 Å, I = 55.4, (1 0 1)
- 2θ = 31.3°, d = 2.859 Å, I = 23.1, (1 0 2)
- 2θ = 36.9°, d = 2.436 Å, I = 99.2, (2 0 0)
- 2θ = 38.2°, d = 2.354 Å, I = 30.6, (0 0 3)
- 2θ = 39.1°, d = 2.302 Å, I = 88.6, (2 0 1)
- 2θ = 41.0°, d = 2.200 Å, I = 100.0, (1 1 2)
- 2θ = 42.7°, d = 2.119 Å, I = 59.7, (1 0 3)
- 2θ = 45.2°, d = 2.005 Å, I = 58.5, (2 0 2)
- 2θ = 63.0°, d = 1.475 Å, I = 28.4, (3 0 2)
- 2θ = 64.2°, d = 1.450 Å, I = 35.4, (2 1 3)
- 2θ = 66.5°, d = 1.406 Å, I = 42.1, (2 2 0)

Crystal structure
Cell lengths 5.625, 5.625, 7.061 Å; angles 90.00, 90.00, 120.00 degrees
Sites, in units of the cell vectors:
La 0.000 0.000 0.000
Sn 0.333 0.667 0.500
Sn 0.667 0.333 0.500
Pd 0.000 0.500 0.194
Pd 0.000 0.500 0.806
Pd 0.500 0.000 0.194
Pd 0.500 0.000 0.806
Pd 0.500 0.500 0.194
Pd 0.500 0.500 0.806